[1]
Calculated PXRD pattern
Compound: Cs2SbAsCl6
Radiation: Cu Kα (λ = 1.5418 Å)
Structure: a structure optimized by DFT (PBE)
Intensities are scaled so that the largest is 100.

Structure:
Cell: 7.6916 7.6916 7.6916 Å, 120.43 120.43 89.25°
Fractional coordinates of all 10 atoms:
Cs  0.2500  0.7500  0.5000
Cs  0.7500  0.2500  0.5000
Sb  0.0000  0.0000  0.0000
As  0.5000  0.5000  0.0000
Cl  0.2523  0.2523  0.0000
Cl  0.2547  0.2547  0.5093
Cl  0.2547  0.7453  0.0000
Cl  0.7453  0.2547  0.0000
Cl  0.7453  0.7453  0.4907
Cl  0.7477  0.7477  0.0000

Peak list (10 most intense, 2θ = 10–90°, in order of falling intensity)
2θ 23.13, I 100
2θ 33.16, I 61
2θ 23.28, I 49
2θ 40.82, I 46
2θ 47.27, I 43
2θ 28.49, I 32
2θ 32.72, I 32
2θ 40.54, I 23
2θ 58.96, I 21
2θ 53.60, I 21



[2]
Calculated PXRD pattern
Compound: Cs2ScAsCl6
Radiation: Cu Kα (λ = 1.5418 Å)
Structure: a structure optimized by DFT (PBE)
Intensities are scaled so that the largest is 100.

Structure:
Cell: 7.7039 7.7039 7.7039 Å, 115.63 115.63 97.76°
Fractional coordinates of all 10 atoms:
Cs  0.2500  0.7500  0.5000
Cs  0.7500  0.2500  0.5000
Sc  0.0000  0.0000  0.0000
As  0.5000  0.5000  0.0000
Cl  0.2132  0.2132  0.4263
Cl  0.2132  0.7868  0.0000
Cl  0.2544  0.2544  0.0000
Cl  0.7456  0.7456  0.0000
Cl  0.7868  0.2132  0.0000
Cl  0.7868  0.7868  0.5737

Peak list (10 most intense, 2θ = 10–90°, in order of falling intensity)
2θ 23.31, I 100
2θ 30.81, I 81
2θ 27.98, I 75
2θ 21.66, I 63
2θ 47.65, I 44
2θ 38.99, I 44
2θ 35.44, I 30
2θ 44.14, I 25
2θ 41.91, I 22
2θ 57.83, I 22



[3]
Calculated PXRD pattern
Compound: CsTl2AsCl8
Radiation: Cu Kα (λ = 1.5418 Å)
Structure: a structure optimized by DFT (PBE)
Intensities are scaled so that the largest is 100.

Structure:
Cell: 6.6727 6.8583 9.5523 Å, 77.52 81.75 79.23°
Fractional coordinates of all 12 atoms:
Cs  0.0000  0.0000  0.0000
Tl  0.4511  0.4491  0.2430
Tl  0.5489  0.5509  0.7570
As  0.0000  0.0000  0.5000
Cl  0.1448  0.7481  0.7071
Cl  0.2206  0.7989  0.3325
Cl  0.2699  0.2046  0.4918
Cl  0.3848  0.2938  0.0146
Cl  0.6152  0.7062  0.9854
Cl  0.7301  0.7954  0.5082
Cl  0.7794  0.2011  0.6675
Cl  0.8552  0.2519  0.2929

Peak list (10 most intense, 2θ = 10–90°, in order of falling intensity)
2θ 17.50, I 100
2θ 20.63, I 79
2θ 21.16, I 57
2θ 25.53, I 48
2θ 22.30, I 45
2θ 35.73, I 32
2θ 45.49, I 28
2θ 38.83, I 28
2θ 24.73, I 28
2θ 35.45, I 27



[4]
Calculated PXRD pattern
Compound: CuAsCl4
Radiation: Cu Kα (λ = 1.5418 Å)
Structure: a structure optimized by DFT (PBE)
Intensities are scaled so that the largest is 100.

Structure:
Cell: 5.5372 5.5592 11.8505 Å, 90.00 90.00 90.00°
Fractional coordinates of all 12 atoms:
Cu  0.0000  0.0000  0.0000
Cu  0.5000  0.0000  0.5000
As  0.0000  0.0000  0.5000
As  0.0000  0.5000  0.0000
Cl  0.2435  0.2385  0.1181
Cl  0.2435  0.7615  0.8819
Cl  0.2623  0.2437  0.6181
Cl  0.2623  0.7563  0.3819
Cl  0.7377  0.2437  0.3819
Cl  0.7377  0.7563  0.6181
Cl  0.7565  0.2385  0.8819
Cl  0.7565  0.7615  0.1181

Peak list (10 most intense, 2θ = 10–90°, in order of falling intensity)
2θ 14.95, I 100
2θ 27.26, I 81
2θ 17.65, I 61
2θ 15.97, I 39
2θ 44.71, I 37
2θ 44.80, I 37
2θ 21.95, I 35
2θ 46.28, I 33
2θ 48.92, I 22
2θ 27.72, I 18



[5]
Calculated PXRD pattern
Compound: CuAs2Pb6Cl7O6
Radiation: Cu Kα (λ = 1.5418 Å)
Structure: a structure optimized by DFT (PBE)
Intensities are scaled so that the largest is 100.

Structure:
Cell: 8.2379 8.2379 8.2379 Å, 74.94 74.94 74.94°
Fractional coordinates of all 22 atoms:
Cu  0.0000  0.0000  0.0000
As  0.3928  0.3928  0.3928
As  0.8671  0.8671  0.8671
Pb  0.2717  0.5002  0.8001
Pb  0.4729  0.9989  0.7578
Pb  0.5002  0.8001  0.2717
Pb  0.7578  0.4729  0.9989
Pb  0.8001  0.2717  0.5002
Pb  0.9989  0.7578  0.4729
Cl  0.0831  0.2438  0.8034
Cl  0.1800  0.9939  0.4786
Cl  0.2438  0.8034  0.0831
Cl  0.4786  0.1800  0.9939
Cl  0.6290  0.6290  0.6290
Cl  0.8034  0.0831  0.2438
Cl  0.9939  0.4786  0.1800
O  0.2716  0.5678  0.5010
O  0.5010  0.2716  0.5678
O  0.5678  0.5010  0.2716
O  0.6830  0.7778  0.9867
O  0.7778  0.9867  0.6830
O  0.9867  0.6830  0.7778

Peak list (10 most intense, 2θ = 10–90°, in order of falling intensity)
2θ 23.35, I 100
2θ 29.05, I 81
2θ 46.74, I 50
2θ 35.48, I 46
2θ 27.66, I 36
2θ 15.11, I 35
2θ 30.90, I 35
2θ 34.10, I 24
2θ 28.90, I 20
2θ 11.37, I 17



[6]
Calculated PXRD pattern
Compound: CuAs2Pb8Cl5O9
Radiation: Cu Kα (λ = 1.5418 Å)
Structure: a structure optimized by DFT (PBE)
Intensities are scaled so that the largest is 100.

Structure:
Cell: 12.3617 12.3617 7.6051 Å, 98.93 98.93 111.90°
Fractional coordinates of all 50 atoms:
Cu  0.0767  0.9233  0.0000
Cu  0.9233  0.0767  0.0000
As  0.0534  0.2857  0.0798
As  0.2857  0.0534  0.0798
As  0.7143  0.9466  0.9202
As  0.9466  0.7143  0.9202
Pb  0.0561  0.2499  0.5669
Pb  0.1410  0.5550  0.4255
Pb  0.1570  0.5518  0.9243
Pb  0.2499  0.0561  0.5669
Pb  0.3511  0.3511  0.4198
Pb  0.3523  0.3523  0.9215
Pb  0.4450  0.8590  0.5745
Pb  0.4482  0.8430  0.0757
Pb  0.5518  0.1570  0.9243
Pb  0.5550  0.1410  0.4255
Pb  0.6477  0.6477  0.0785
Pb  0.6489  0.6489  0.5802
Pb  0.7501  0.9439  0.4331
Pb  0.8430  0.4482  0.0757
Pb  0.8590  0.4450  0.5745
Pb  0.9439  0.7501  0.4331
Cl  0.0014  0.0014  0.2418
Cl  0.1965  0.7708  0.7281
Cl  0.2292  0.8035  0.2719
Cl  0.3720  0.5626  0.7262
Cl  0.4374  0.6280  0.2738
Cl  0.5626  0.3720  0.7262
Cl  0.6280  0.4374  0.2738
Cl  0.7708  0.1965  0.7281
Cl  0.8035  0.2292  0.2719
Cl  0.9986  0.9986  0.7582
O  0.0241  0.4186  0.0967
O  0.0552  0.4420  0.6288
O  0.1472  0.3281  0.3067
O  0.1525  0.3277  0.9291
O  0.2577  0.2577  0.6235
O  0.3281  0.1472  0.3067
O  0.3277  0.1525  0.9291
O  0.4186  0.0241  0.0967
O  0.4420  0.0552  0.6288
O  0.5580  0.9448  0.3712
O  0.5814  0.9759  0.9033
O  0.6723  0.8475  0.0709
O  0.6719  0.8528  0.6933
O  0.7423  0.7423  0.3765
O  0.8475  0.6723  0.0709
O  0.8528  0.6719  0.6933
O  0.9448  0.5580  0.3712
O  0.9759  0.5814  0.9033

Peak list (10 most intense, 2θ = 10–90°, in order of falling intensity)
2θ 29.69, I 100
2θ 30.98, I 92
2θ 32.12, I 91
2θ 22.71, I 48
2θ 24.35, I 44
2θ 54.97, I 34
2θ 13.32, I 24
2θ 42.36, I 21
2θ 42.27, I 21
2θ 26.81, I 21



[7]
Calculated PXRD pattern
Compound: CuAs2S2Cl2
Radiation: Cu Kα (λ = 1.5418 Å)
Structure: a structure optimized by DFT (PBE)
Intensities are scaled so that the largest is 100.

Structure:
Cell: 16.3646 3.3354 7.2909 Å, 90.00 114.81 90.00°
Fractional coordinates of all 14 atoms:
Cu  0.0000  0.0000  0.0000
Cu  0.5000  0.5000  0.0000
As  0.1701  0.0000  0.5885
As  0.3299  0.5000  0.4115
As  0.6701  0.5000  0.5885
As  0.8299  0.0000  0.4115
S  0.2246  0.0000  0.2744
S  0.2754  0.5000  0.7256
S  0.7246  0.5000  0.2744
S  0.7754  0.0000  0.7256
Cl  0.0059  0.5000  0.2276
Cl  0.4941  0.0000  0.7724
Cl  0.5059  0.0000  0.2276
Cl  0.9941  0.5000  0.7724

Peak list (10 most intense, 2θ = 10–90°, in order of falling intensity)
2θ 21.41, I 100
2θ 13.69, I 100
2θ 36.92, I 81
2θ 38.09, I 71
2θ 21.99, I 67
2θ 48.49, I 63
2θ 32.36, I 60
2θ 27.57, I 48
2θ 36.29, I 40
2θ 52.19, I 37



[8]
Calculated PXRD pattern
Compound: Cu2As4S3Cl2
Radiation: Cu Kα (λ = 1.5418 Å)
Structure: a structure optimized by DFT (PBE)
Intensities are scaled so that the largest is 100.

Structure:
Cell: 6.3193 7.1038 12.1320 Å, 90.00 102.43 90.00°
Fractional coordinates of all 22 atoms:
Cu  0.0728  0.0233  0.1970
Cu  0.0728  0.4767  0.1970
Cu  0.9272  0.5233  0.8030
Cu  0.9272  0.9767  0.8030
As  0.2312  0.0729  0.5989
As  0.2312  0.4271  0.5989
As  0.4291  0.7500  0.4069
As  0.4600  0.2500  0.8846
As  0.5400  0.7500  0.1154
As  0.5709  0.2500  0.5931
As  0.7688  0.5729  0.4011
As  0.7688  0.9271  0.4011
S  0.2586  0.7500  0.2176
S  0.2797  0.0036  0.7872
S  0.2797  0.4964  0.7872
S  0.7203  0.5036  0.2128
S  0.7203  0.9964  0.2128
S  0.7414  0.2500  0.7824
Cl  0.1023  0.2500  0.0645
Cl  0.2117  0.2500  0.3571
Cl  0.7883  0.7500  0.6429
Cl  0.8977  0.7500  0.9355

Peak list (10 most intense, 2θ = 10–90°, in order of falling intensity)
2θ 14.54, I 100
2θ 19.31, I 92
2θ 29.00, I 90
2θ 28.28, I 76
2θ 37.97, I 58
2θ 22.94, I 56
2θ 34.98, I 56
2θ 51.05, I 49
2θ 32.76, I 49
2θ 34.24, I 49



[9]
Calculated PXRD pattern
Compound: TlCuAsCl6
Radiation: Cu Kα (λ = 1.5418 Å)
Structure: a structure optimized by DFT (PBE)
Intensities are scaled so that the largest is 100.

Structure:
Cell: 6.5549 6.5704 6.8732 Å, 94.39 94.57 114.43°
Fractional coordinates of all 9 atoms:
Tl  0.0000  0.0000  0.0000
Cu  0.3057  0.6940  0.4999
As  0.6539  0.3446  0.4994
Cl  0.3356  0.4387  0.2744
Cl  0.3529  0.0376  0.6612
Cl  0.5617  0.6626  0.7256
Cl  0.6357  0.0616  0.2664
Cl  0.9391  0.3607  0.7304
Cl  0.9594  0.6459  0.3386

Peak list (10 most intense, 2θ = 10–90°, in order of falling intensity)
2θ 18.62, I 100
2θ 20.73, I 100
2θ 21.04, I 77
2θ 39.64, I 52
2θ 39.48, I 37
2θ 27.36, I 36
2θ 33.92, I 34
2θ 31.41, I 33
2θ 36.90, I 30
2θ 25.33, I 26



[10]
Calculated PXRD pattern
Compound: Dy6As5Cl
Radiation: Cu Kα (λ = 1.5418 Å)
Structure: a structure optimized by DFT (PBE)
Intensities are scaled so that the largest is 100.

Structure:
Cell: 7.1125 7.1125 7.0996 Å, 99.60 99.60 119.90°
Fractional coordinates of all 12 atoms:
Dy  0.0661  0.4139  0.7422
Dy  0.2381  0.2381  0.2571
Dy  0.4139  0.0661  0.7422
Dy  0.5861  0.9339  0.2578
Dy  0.7619  0.7619  0.7429
Dy  0.9339  0.5861  0.2578
As  0.0000  0.0000  0.5000
As  0.1673  0.8327  0.0000
As  0.3378  0.6622  0.5000
As  0.6622  0.3378  0.5000
As  0.8327  0.1673  0.0000
Cl  0.5000  0.5000  0.0000

Peak list (10 most intense, 2θ = 10–90°, in order of falling intensity)
2θ 30.80, I 100
2θ 44.09, I 49
2θ 44.18, I 24
2θ 26.58, I 21
2θ 54.81, I 19
2θ 72.92, I 16
2θ 72.79, I 16
2θ 64.16, I 12
2θ 81.17, I 12
2θ 52.22, I 8



[11]
Calculated PXRD pattern
Compound: DyAsClO4
Radiation: Cu Kα (λ = 1.5418 Å)
Structure: a structure optimized by DFT (PBE)
Intensities are scaled so that the largest is 100.

Structure:
Cell: 6.4627 6.4627 6.8192 Å, 100.65 100.65 61.99°
Fractional coordinates of all 14 atoms:
Dy  0.2086  0.2086  0.3439
Dy  0.7914  0.7914  0.6561
As  0.1472  0.1472  0.7805
As  0.8528  0.8528  0.2195
Cl  0.4738  0.4738  0.6309
Cl  0.5262  0.5262  0.3691
O  0.0022  0.3890  0.6436
O  0.0095  0.0095  0.2515
O  0.2209  0.2209  0.0243
O  0.3890  0.0022  0.6436
O  0.6110  0.9978  0.3564
O  0.7791  0.7791  0.9757
O  0.9905  0.9905  0.7485
O  0.9978  0.6110  0.3564

Peak list (10 most intense, 2θ = 10–90°, in order of falling intensity)
2θ 26.79, I 100
2θ 28.14, I 84
2θ 16.39, I 72
2θ 29.54, I 71
2θ 13.30, I 56
2θ 33.53, I 42
2θ 15.63, I 41
2θ 35.19, I 35
2θ 49.05, I 23
2θ 19.38, I 21



[12]
Calculated PXRD pattern
Compound: AsCl2F5
Radiation: Cu Kα (λ = 1.5418 Å)
Structure: a structure optimized by DFT (PBE)
Intensities are scaled so that the largest is 100.

Structure:
Cell: 4.9258 6.2167 6.5748 Å, 84.00 74.85 71.84°
Fractional coordinates of all 8 atoms:
As  0.0000  0.0000  0.0000
Cl  0.2572  0.4321  0.5191
Cl  0.5805  0.5583  0.5307
F  0.0202  0.9951  0.2612
F  0.3617  0.9995  0.9153
F  0.7277  0.2554  0.0397
F  0.9269  0.7434  0.0427
F  0.9763  0.0059  0.7399

Peak list (10 most intense, 2θ = 10–90°, in order of falling intensity)
2θ 20.82, I 100
2θ 20.29, I 67
2θ 28.12, I 51
2θ 21.12, I 36
2θ 15.00, I 23
2θ 30.27, I 22
2θ 19.55, I 21
2θ 13.96, I 20
2θ 26.77, I 17
2θ 38.01, I 12